NpGa4Co2: computed powder XRD pattern (CuKα), based on a cell relaxed with PBE.
No peak broadening, texture or thermal motion is included.

Cell and atoms:
Unit cell a=16.588 b=4.111 c=6.468 alpha=90.00 beta=90.00 gamma=90.00
Positions (direct):
Np  0.137  0.250  0.042
Np  0.363  0.750  0.542
Np  0.637  0.250  0.458
Np  0.863  0.750  0.958
Ga  0.035  0.750  0.834
Ga  0.073  0.250  0.513
Ga  0.186  0.750  0.351
Ga  0.194  0.750  0.747
Ga  0.306  0.250  0.247
Ga  0.314  0.250  0.851
Ga  0.427  0.750  0.013
Ga  0.465  0.250  0.334
Ga  0.535  0.750  0.666
Ga  0.573  0.250  0.987
Ga  0.686  0.750  0.149
Ga  0.694  0.750  0.753
Ga  0.806  0.250  0.253
Ga  0.814  0.250  0.649
Ga  0.927  0.750  0.487
Ga  0.965  0.250  0.166
Co  0.043  0.750  0.236
Co  0.221  0.250  0.551
Co  0.279  0.750  0.051
Co  0.457  0.250  0.736
Co  0.543  0.750  0.264
Co  0.721  0.250  0.949
Co  0.779  0.750  0.449
Co  0.957  0.250  0.764

Most intense lines, 2θ from 15° to 90°, by intensity:
- 2.430 Å, 2θ 36.99, I = 100
- 2.398 Å, 2θ 37.51, I = 82
- 2.055 Å, 2θ 44.06, I = 44
- 2.294 Å, 2θ 39.27, I = 40
- 2.225 Å, 2θ 40.54, I = 34
- 2.512 Å, 2θ 35.74, I = 22
- 2.550 Å, 2θ 35.19, I = 21
- 3.683 Å, 2θ 24.16, I = 21
- 1.510 Å, 2θ 61.41, I = 20
- 3.396 Å, 2θ 26.24, I = 19



CsKHgS: computed powder XRD pattern (CuKα), based on a cell relaxed with PBE.
No peak broadening, texture or thermal motion is included.

Cell and atoms:
Unit cell a=5.840 b=5.840 c=5.840 alpha=60.00 beta=60.00 gamma=60.00
Positions (direct):
Cs  0.000  0.000  0.000
K  0.500  0.500  0.500
Hg  0.750  0.750  0.750
S  0.250  0.250  0.250

Most intense lines, 2θ from 15° to 90°, by intensity:
- 2.920 Å, 2θ 30.62, I = 100
- 4.768 Å, 2θ 18.61, I = 46
- 1.686 Å, 2θ 54.42, I = 38
- 2.490 Å, 2θ 36.07, I = 29
- 1.104 Å, 2θ 88.61, I = 20
- 2.065 Å, 2θ 43.85, I = 18
- 1.306 Å, 2θ 72.36, I = 17
- 1.895 Å, 2θ 48.02, I = 13
- 1.460 Å, 2θ 63.74, I = 12
- 1.589 Å, 2θ 58.03, I = 10



LiMg12Tl7: computed powder XRD pattern (CuKα), based on a cell relaxed with PBE.
No peak broadening, texture or thermal motion is included.

Cell and atoms:
Unit cell a=8.262 b=8.262 c=8.262 alpha=100.67 beta=100.67 gamma=100.67
Positions (direct):
Li  0.000  0.000  0.000
Mg  0.135  0.508  0.411
Mg  0.168  0.291  0.719
Mg  0.281  0.832  0.709
Mg  0.291  0.719  0.168
Mg  0.411  0.135  0.508
Mg  0.492  0.589  0.865
Mg  0.508  0.411  0.135
Mg  0.589  0.865  0.492
Mg  0.709  0.281  0.832
Mg  0.719  0.168  0.291
Mg  0.832  0.709  0.281
Mg  0.865  0.492  0.589
Tl  0.053  0.093  0.351
Tl  0.093  0.351  0.053
Tl  0.351  0.053  0.093
Tl  0.500  0.500  0.500
Tl  0.649  0.947  0.907
Tl  0.907  0.649  0.947
Tl  0.947  0.907  0.649

Most intense lines, 2θ from 15° to 90°, by intensity:
- 2.691 Å, 2θ 33.30, I = 100
- 2.950 Å, 2θ 30.29, I = 81
- 2.080 Å, 2θ 43.52, I = 40
- 3.785 Å, 2θ 23.51, I = 36
- 4.956 Å, 2θ 17.90, I = 36
- 3.253 Å, 2θ 27.42, I = 24
- 3.953 Å, 2θ 22.49, I = 22
- 1.823 Å, 2θ 50.04, I = 21
- 1.764 Å, 2θ 51.83, I = 17
- 1.850 Å, 2θ 49.26, I = 16